(1)
Structure and computed X-ray powder pattern of Dy3Al9Au2 (a cell relaxed with PBE; λ = 1.5418 Å (Cu Kα)).

Principal peaks in the range 10 to 90 degrees two-theta, low angle first:
(0 0 2), 2θ 14.38, rel. 17.9
(1 0 1), 2θ 21.97, rel. 16.2
(1 1 0), 2θ 22.53, rel. 54.4
(1 2 1), 2θ 28.10, rel. 22.3
(0 3 3), 2θ 34.15, rel. 29.3
(1 2 3), 2θ 34.98, rel. 100.0
(1 3 2), 2θ 36.68, rel. 15.0
(2 0 0), 2θ 42.19, rel. 19.5
(1 5 0), 2θ 49.30, rel. 13.4
(2 3 3), 2θ 55.36, rel. 14.9

Crystal structure
```
data_Dy3Al9Au2
_symmetry_space_group_name_H-M 'I m m m'
_symmetry_Int_Tables_number 71
_symmetry_space_group_name_Hall '-I 2 2'
_cell_length_a 4.283
_cell_length_b 10.245
_cell_length_c 12.321
_cell_angle_alpha 90.00
_cell_angle_beta 90.00
_cell_angle_gamma 90.00
loop_
_atom_site_label
_atom_site_type_symbol
_atom_site_fract_x
_atom_site_fract_y
_atom_site_fract_z
Dy1 Dy 0.000 0.000 0.000
Dy2 Dy 0.000 0.000 0.311
Al1 Al 0.000 0.279 0.134
Al2 Al 0.000 0.374 0.339
Al3 Al 0.000 0.500 0.000
Au1 Au 0.000 0.211 0.500
```

***

(2)
Structure and computed X-ray powder pattern of DyAl7Au3 (a cell relaxed with PBE; λ = 1.5418 Å (Cu Kα)).

Principal peaks in the range 10 to 90 degrees two-theta, low angle first:
(1 1 3), 2θ 25.37, rel. 100.0
(1 1 6), 2θ 33.74, rel. 35.3
(3 0 0), 2θ 38.52, rel. 38.0
(1 1 9), 2θ 44.62, rel. 31.1
(2 2 3), 2θ 46.67, rel. 43.5
(4 1 3), 2θ 62.07, rel. 17.6
(3 0 12), 2θ 66.49, rel. 17.8
(1 4 6), 2θ 66.64, rel. 11.8
(4 1 9), 2θ 73.94, rel. 10.5
(2 5 3), 2θ 88.09, rel. 9.2

Crystal structure
```
data_DyAl7Au3
_symmetry_space_group_name_H-M 'R -3 c'
_symmetry_Int_Tables_number 167
_symmetry_space_group_name_Hall '-R 3 2"c'
_cell_length_a 8.0966
_cell_length_b 8.0966
_cell_length_c 21.1262
_cell_angle_alpha 90.00
_cell_angle_beta 90.00
_cell_angle_gamma 120.00
loop_
_atom_site_label
_atom_site_type_symbol
_atom_site_fract_x
_atom_site_fract_y
_atom_site_fract_z
Dy1 Dy 0.0000 0.0000 0.0000
Al1 Al 0.0000 0.0000 0.2500
Al2 Al 0.0107 0.2069 0.1367
Au1 Au 0.0000 0.3237 0.2500
```

***

(3)
Structure and computed X-ray powder pattern of DyAl2Au6 (a cell relaxed with PBE; λ = 1.5418 Å (Cu Kα)).

Principal peaks in the range 10 to 90 degrees two-theta, low angle first:
(1 1 1), 2θ 13.07, rel. 4.4
(2 2 0), 2θ 21.42, rel. 15.4
(3 1 1), 2θ 25.17, rel. 7.6
(4 0 0), 2θ 30.47, rel. 100.0
(4 2 2), 2θ 37.55, rel. 7.8
(4 4 0), 2θ 43.63, rel. 89.6
(4 4 4), 2θ 54.15, rel. 27.3
(8 0 0), 2θ 63.41, rel. 14.9
(8 4 0), 2θ 71.98, rel. 35.6
(8 4 4), 2θ 80.14, rel. 31.5

Crystal structure
Cell: 11.734 11.734 11.734 Å, 90.00 90.00 90.00°
Space group Fd-3m (No. 227, origin choice 2)
One atom of each set of equivalent atoms:
Dy1 0.125 0.125 0.125 (multiplicity 8)
Al1 0.000 0.000 0.500 (multiplicity 16)
Au1 0.124 0.375 0.375 (multiplicity 48)

***

(4)
Structure and computed X-ray powder pattern of DyAl3Au6 (a cell relaxed with PBE; λ = 1.5418 Å (Cu Kα)).

Principal peaks in the range 10 to 90 degrees two-theta, low angle first:
(1 1 2), 2θ 28.21, rel. 59.1
(1 -1 1), 2θ 29.29, rel. 52.9
(1 2 1), 2θ 30.21, rel. 40.0
(1 1 -1), 2θ 33.23, rel. 99.0
(0 2 2), 2θ 33.68, rel. 63.9
(2 1 1), 2θ 36.43, rel. 35.6
(1 -2 0), 2θ 36.68, rel. 100.0
(0 1 -2), 2θ 38.74, rel. 60.6
(1 3 1), 2θ 43.37, rel. 41.1
(-2 1 1), 2θ 46.38, rel. 31.0

Crystal structure
```
data_DyAl3Au6
_symmetry_space_group_name_H-M 'P 1'
_symmetry_Int_Tables_number 1
_symmetry_space_group_name_Hall 'P 1'
_cell_length_a 5.031
_cell_length_b 6.542
_cell_length_c 6.765
_cell_angle_alpha 65.63
_cell_angle_beta 71.06
_cell_angle_gamma 79.11
loop_
_atom_site_label
_atom_site_type_symbol
_atom_site_fract_x
_atom_site_fract_y
_atom_site_fract_z
Dy1 Dy 0.000 0.000 0.000
Al1 Al 0.428 0.335 0.092
Al2 Al 0.516 0.651 0.443
Al3 Al 0.808 0.891 0.587
Au1 Au 0.038 0.557 0.434
Au2 Au 0.132 0.601 0.831
Au3 Au 0.312 0.041 0.491
Au4 Au 0.537 0.735 0.026
Au5 Au 0.551 0.228 0.744
Au6 Au 0.854 0.285 0.262
```

***

(5)
Structure and computed X-ray powder pattern of Dy4Al3Au (a cell relaxed with PBE; λ = 1.5418 Å (Cu Kα)).

Principal peaks in the range 10 to 90 degrees two-theta, low angle first:
(0 1 2), 2θ 25.14, rel. 33.2
(0 0 4), 2θ 31.09, rel. 21.9
(1 1 1), 2θ 31.94, rel. 100.0
(1 0 3), 2θ 33.33, rel. 48.3
(0 1 4), 2θ 37.11, rel. 33.2
(1 1 3), 2θ 39.03, rel. 28.2
(0 2 0), 2θ 40.11, rel. 26.1
(2 0 0), 2θ 48.28, rel. 15.4
(1 2 3), 2θ 53.10, rel. 26.0
(2 1 4), 2θ 62.42, rel. 15.2

Crystal structure
```
data_Dy4Al3Au
_symmetry_space_group_name_H-M 'P m m 2'
_symmetry_Int_Tables_number 25
_symmetry_space_group_name_Hall 'P 2 -2'
_cell_length_a 3.770
_cell_length_b 4.496
_cell_length_c 11.505
_cell_angle_alpha 90.00
_cell_angle_beta 90.00
_cell_angle_gamma 90.00
loop_
_atom_site_label
_atom_site_type_symbol
_atom_site_fract_x
_atom_site_fract_y
_atom_site_fract_z
Dy1 Dy 0.000 0.000 0.000
Dy2 Dy 0.000 0.500 0.293
Dy3 Dy 0.500 0.000 0.489
Dy4 Dy 0.500 0.500 0.801
Al1 Al 0.000 0.000 0.713
Al2 Al 0.000 0.500 0.576
Al3 Al 0.500 0.500 0.074
Au1 Au 0.500 0.000 0.219
```

***

(6)
Structure and computed X-ray powder pattern of Dy3Al8Au3 (a cell relaxed with PBE; λ = 1.5418 Å (Cu Kα)).

Principal peaks in the range 10 to 90 degrees two-theta, low angle first:
(0 1 1), 2θ 11.30, rel. 22.0
(0 0 2), 2θ 14.20, rel. 35.9
(1 2 1), 2θ 28.02, rel. 43.2
(1 2 3), 2θ 34.75, rel. 100.0
(0 4 0), 2θ 35.70, rel. 17.6
(1 3 2), 2θ 36.76, rel. 18.6
(2 0 0), 2θ 41.45, rel. 21.5
(0 0 6), 2θ 43.53, rel. 13.3
(0 5 1), 2θ 45.64, rel. 15.7
(1 2 7), 2θ 58.94, rel. 15.5

Crystal structure
```
data_Dy3Al8Au3
_symmetry_space_group_name_H-M 'I m m m'
_symmetry_Int_Tables_number 71
_symmetry_space_group_name_Hall '-I 2 2'
_cell_length_a 4.357
_cell_length_b 10.059
_cell_length_c 12.475
_cell_angle_alpha 90.00
_cell_angle_beta 90.00
_cell_angle_gamma 90.00
loop_
_atom_site_label
_atom_site_type_symbol
_atom_site_fract_x
_atom_site_fract_y
_atom_site_fract_z
Dy1 Dy 0.000 0.000 0.000
Dy2 Dy 0.000 0.000 0.311
Al1 Al 0.000 0.283 0.129
Al2 Al 0.000 0.371 0.334
Au1 Au 0.000 0.223 0.500
Au2 Au 0.000 0.500 0.000
```

***

(7)
Structure and computed X-ray powder pattern of DyAl3Au (a cell relaxed with PBE; λ = 1.5418 Å (Cu Kα)).

Principal peaks in the range 10 to 90 degrees two-theta, low angle first:
(0 1 1), 2θ 22.49, rel. 36.3
(2 0 1), 2θ 22.63, rel. 34.7
(1 0 3), 2θ 26.53, rel. 38.2
(1 1 2), 2θ 28.64, rel. 29.6
(2 1 0), 2θ 29.93, rel. 70.0
(1 1 3), 2θ 34.05, rel. 100.0
(2 1 2), 2θ 34.17, rel. 24.1
(3 1 1), 2θ 39.38, rel. 33.9
(0 2 0), 2θ 42.68, rel. 33.2
(1 2 3), 2θ 50.98, rel. 22.6

Crystal structure
```
data_DyAl3Au
_symmetry_space_group_name_H-M 'P n m a'
_symmetry_Int_Tables_number 62
_symmetry_space_group_name_Hall '-P 2ac 2n'
_cell_length_a 8.415
_cell_length_b 4.237
_cell_length_c 10.994
_cell_angle_alpha 90.00
_cell_angle_beta 90.00
_cell_angle_gamma 90.00
loop_
_atom_site_label
_atom_site_type_symbol
_atom_site_fract_x
_atom_site_fract_y
_atom_site_fract_z
Dy1 Dy 0.182 0.250 0.007
Al1 Al 0.074 0.250 0.596
Al2 Al 0.105 0.750 0.806
Al3 Al 0.133 0.750 0.209
Au1 Au 0.102 0.250 0.361
```

***

(8)
Structure and computed X-ray powder pattern of DyAl2Au9 (a cell relaxed with PBE; λ = 1.5418 Å (Cu Kα)).

Principal peaks in the range 10 to 90 degrees two-theta, low angle first:
(2 1 1), 2θ 21.57, rel. 12.3
(3 0 1), 2θ 26.59, rel. 9.8
(4 2 0), 2θ 34.81, rel. 36.3
(3 1 2), 2θ 35.96, rel. 100.0
(1 0 3), 2θ 40.23, rel. 9.5
(5 0 1), 2θ 41.32, rel. 52.4
(2 1 3), 2θ 43.31, rel. 9.4
(6 0 0), 2θ 47.32, rel. 10.1
(5 4 1), 2θ 52.56, rel. 9.4
(5 5 2), 2θ 63.16, rel. 14.8

Crystal structure
```
data_DyAl2Au9
_symmetry_space_group_name_H-M 'I 41/a m d'
_symmetry_Int_Tables_number 141
_cell_length_a 11.527
_cell_length_b 11.527
_cell_length_c 6.856
_cell_angle_alpha 90.00
_cell_angle_beta 90.00
_cell_angle_gamma 90.00
loop_
_symmetry_equiv_pos_as_xyz
'x,y,z'
'-x,-y,-z'
'-y+1/4,x+3/4,z+1/4'
'y+1/4,-x+3/4,-z+1/4'
'-x+1/2,-y,z+1/2'
'x+1/2,y,-z+1/2'
'y+1/4,-x+1/4,z+3/4'
'-y+1/4,x+1/4,-z+3/4'
'x,-y,-z'
'-x,y,z'
'-y+1/4,-x+1/4,-z+3/4'
'y+1/4,x+1/4,z+3/4'
'-x+1/2,y,-z+1/2'
'x+1/2,-y,z+1/2'
'y+1/4,x+3/4,-z+1/4'
'-y+1/4,-x+3/4,z+1/4'
'x+1/2,y+1/2,z+1/2'
'-x+1/2,-y+1/2,-z+1/2'
'-y+3/4,x+1/4,z+3/4'
'y+3/4,-x+1/4,-z+3/4'
'-x,-y+1/2,z'
'x,y+1/2,-z'
'y+3/4,-x+3/4,z+1/4'
'-y+3/4,x+3/4,-z+1/4'
'x+1/2,-y+1/2,-z+1/2'
'-x+1/2,y+1/2,z+1/2'
'-y+3/4,-x+3/4,-z+1/4'
'y+3/4,x+3/4,z+1/4'
'-x,y+1/2,-z'
'x,-y+1/2,z'
'y+3/4,x+1/4,-z+3/4'
'-y+3/4,-x+1/4,z+3/4'
loop_
_atom_site_label
_atom_site_type_symbol
_atom_site_fract_x
_atom_site_fract_y
_atom_site_fract_z
Dy1 Dy 0.000 0.250 0.375
Al1 Al 0.000 0.000 0.000
Au1 Au 0.000 0.250 0.875
Au2 Au 0.123 0.070 0.662
```

***

(9)
Structure and computed X-ray powder pattern of Dy3AlGa2Au6 (a cell relaxed with PBE; λ = 1.5418 Å (Cu Kα)).

Principal peaks in the range 10 to 90 degrees two-theta, low angle first:
(0 1 1), 2θ 20.19, rel. 17.0
(0 0 2), 2θ 21.31, rel. 23.1
(0 0 3), 2θ 32.20, rel. 17.4
(2 0 0), 2θ 34.65, rel. 15.3
(0 2 1), 2θ 36.34, rel. 100.0
(1 0 3), 2θ 36.69, rel. 20.5
(1 1 2), 2θ 37.00, rel. 33.8
(2 0 2), 2θ 41.04, rel. 38.8
(0 2 3), 2θ 48.02, rel. 16.5
(2 2 0), 2θ 62.10, rel. 23.1

Crystal structure
```
data_Dy3AlGa2Au6
_symmetry_space_group_name_H-M 'P -3 m 1'
_symmetry_Int_Tables_number 164
_symmetry_space_group_name_Hall '-P 3 2"'
_cell_length_a 5.9783
_cell_length_b 5.9783
_cell_length_c 8.3398
_cell_angle_alpha 90.00
_cell_angle_beta 90.00
_cell_angle_gamma 120.00
loop_
_atom_site_label
_atom_site_type_symbol
_atom_site_fract_x
_atom_site_fract_y
_atom_site_fract_z
Dy1 Dy 0.0000 0.0000 0.0000
Dy2 Dy 0.3333 0.6667 0.6171
Al1 Al 0.0000 0.0000 0.5000
Ga1 Ga 0.3333 0.6667 0.9978
Au1 Au 0.1748 0.3496 0.2779
```

***

(10)
Structure and computed X-ray powder pattern of DyAlGa2Au5 (a cell relaxed with PBE; λ = 1.5418 Å (Cu Kα)).

Principal peaks in the range 10 to 90 degrees two-theta, low angle first:
(1 0 3), 2θ 27.12, rel. 100.0
(0 2 2), 2θ 32.91, rel. 17.8
(1 2 1), 2θ 36.26, rel. 79.2
(2 0 0), 2θ 37.77, rel. 41.9
(0 0 6), 2θ 39.66, rel. 25.3
(0 2 4), 2θ 40.29, rel. 43.1
(1 2 3), 2θ 40.96, rel. 22.1
(2 0 6), 2θ 55.92, rel. 18.7
(2 2 4), 2θ 56.41, rel. 32.5
(1 2 7), 2θ 60.04, rel. 26.2

Crystal structure
```
data_DyAlGa2Au5
_symmetry_space_group_name_H-M 'I m m m'
_symmetry_Int_Tables_number 71
_symmetry_space_group_name_Hall '-I 2 2'
_cell_length_a 4.764
_cell_length_b 5.937
_cell_length_c 13.635
_cell_angle_alpha 90.00
_cell_angle_beta 90.00
_cell_angle_gamma 90.00
loop_
_atom_site_label
_atom_site_type_symbol
_atom_site_fract_x
_atom_site_fract_y
_atom_site_fract_z
Dy1 Dy 0.000 0.000 0.000
Al1 Al 0.000 0.000 0.500
Ga1 Ga 0.000 0.500 0.189
Au1 Au 0.000 0.265 0.351
Au2 Au 0.000 0.500 0.000
```

***

(11)
Structure and computed X-ray powder pattern of Li2DyAl2Au2 (a cell relaxed with PBE; λ = 1.5418 Å (Cu Kα)).

Principal peaks in the range 10 to 90 degrees two-theta, low angle first:
(0 0 1), 2θ 12.24, rel. 55.3
(1 1 -1), 2θ 24.24, rel. 20.9
(1 1 1), 2θ 28.10, rel. 100.0
(2 0 -2), 2θ 28.22, rel. 49.9
(1 1 2), 2θ 36.95, rel. 28.0
(3 1 -1), 2θ 39.90, rel. 56.5
(0 2 0), 2θ 40.00, rel. 28.1
(1 1 -3), 2θ 40.58, rel. 30.7
(2 2 -2), 2θ 49.67, rel. 21.6
(5 1 -3), 2θ 65.52, rel. 19.0

Crystal structure
```
data_Li2DyAl2Au2
_symmetry_space_group_name_H-M 'C 1 2/m 1'
_symmetry_Int_Tables_number 12
_symmetry_space_group_name_Hall '-C 2y'
_cell_length_a 7.834
_cell_length_b 4.508
_cell_length_c 7.666
_cell_angle_alpha 90.00
_cell_angle_beta 109.44
_cell_angle_gamma 90.00
loop_
_atom_site_label
_atom_site_type_symbol
_atom_site_fract_x
_atom_site_fract_y
_atom_site_fract_z
Li1 Li 0.142 0.000 0.429
Dy1 Dy 0.000 0.000 0.000
Al1 Al 0.073 0.500 0.717
Au1 Au 0.239 0.500 0.220
```

***

(12)
Structure and computed X-ray powder pattern of DyAl2RhAu (a cell relaxed with PBE; λ = 1.5418 Å (Cu Kα)).

Principal peaks in the range 10 to 90 degrees two-theta, low angle first:
(0 2 0), 2θ 13.43, rel. 32.6
(1 3 0), 2θ 28.69, rel. 39.8
(0 4 1), 2θ 30.36, rel. 27.1
(1 3 1), 2θ 31.84, rel. 27.9
(1 1 2), 2θ 34.80, rel. 100.0
(0 4 2), 2θ 38.76, rel. 24.7
(1 5 0), 2θ 39.84, rel. 21.9
(2 0 0), 2θ 40.96, rel. 27.8
(2 4 1), 2θ 51.85, rel. 17.9
(2 4 2), 2θ 57.66, rel. 18.0

Crystal structure
```
data_DyAl2RhAu
_symmetry_space_group_name_H-M 'C m c m'
_symmetry_Int_Tables_number 63
_symmetry_space_group_name_Hall '-C 2c 2'
_cell_length_a 4.407
_cell_length_b 13.182
_cell_length_c 6.550
_cell_angle_alpha 90.00
_cell_angle_beta 90.00
_cell_angle_gamma 90.00
loop_
_atom_site_label
_atom_site_type_symbol
_atom_site_fract_x
_atom_site_fract_y
_atom_site_fract_z
Dy1 Dy 0.000 0.091 0.250
Al1 Al 0.000 0.308 0.042
Rh1 Rh 0.000 0.183 0.750
Au1 Au 0.000 0.500 0.000
```